1.
This entry pairs a crystal structure of Dy2Y2CBr2Cl3 with its theoretical X-ray diffraction stick pattern. Radiation: a wavelength of 1.5418 Å. Structure: a PBE-relaxed structure.
Intensities are scaled so that the largest is 100.

Largest 8 diffraction maxima, low angle first, 5 to 70 degrees two-theta:
| (hkl) | 2θ (°) | I_rel |
| --- | --- | --- |
| 2 0 0 | 10.55 | 54 |
| 0 0 1 | 11.55 | 29 |
| 1 1 0 | 24.25 | 30 |
| 6 0 0 | 32.01 | 50 |
| 1 1 -2 | 32.99 | 100 |
| 5 1 0 | 35.87 | 30 |
| 5 1 2 | 46.45 | 29 |
| 7 1 -2 | 46.80 | 31 |

Structural model:
```
data_Dy2Y2CBr2Cl3
_space_group_name_H-M_alt 'C 1 2/m 1'
_space_group_IT_number 12
_space_group_name_Hall '-C 2y'
_cell_length_a 17.1919
_cell_length_b 3.7607
_cell_length_c 7.8500
_cell_angle_alpha 90.00
_cell_angle_beta 102.62
_cell_angle_gamma 90.00
loop_
_atom_site_label
_atom_site_type_symbol
_atom_site_fract_x
_atom_site_fract_y
_atom_site_fract_z
Dy1 Dy 0.0026 0.0000 0.2910
Y1 Y 0.1429 0.5000 0.5747
C1 C 0.0000 0.5000 0.5000
Br1 Br 0.1669 0.0000 0.8523
Cl1 Cl 0.0000 0.5000 0.0000
Cl2 Cl 0.1711 0.0000 0.3374
```



2.
This entry pairs a crystal structure of Dy2Y2CBr3Cl2 with its theoretical X-ray diffraction stick pattern. Radiation: a wavelength of 1.5418 Å. Structure: a PBE-relaxed structure.
Intensities are scaled so that the largest is 100.

Largest 8 diffraction maxima, low angle first, 5 to 70 degrees two-theta:
| (hkl) | 2θ (°) | I_rel |
| --- | --- | --- |
| 2 0 0 | 10.58 | 67 |
| 0 0 1 | 11.21 | 21 |
| 3 1 -1 | 29.28 | 22 |
| 6 0 0 | 32.10 | 79 |
| 1 1 -2 | 32.34 | 100 |
| 4 0 -3 | 35.86 | 34 |
| 5 1 2 | 46.11 | 29 |
| 7 1 -2 | 46.34 | 31 |

Structural model:
```
data_Dy2Y2CBr3Cl2
_space_group_name_H-M_alt 'C 1 2/m 1'
_space_group_IT_number 12
_space_group_name_Hall '-C 2y'
_cell_length_a 17.1785
_cell_length_b 3.7887
_cell_length_c 8.1100
_cell_angle_alpha 90.00
_cell_angle_beta 103.27
_cell_angle_gamma 90.00
loop_
_atom_site_label
_atom_site_type_symbol
_atom_site_fract_x
_atom_site_fract_y
_atom_site_fract_z
Dy1 Dy 0.0024 0.0000 0.2993
Y1 Y 0.1437 0.5000 0.5751
C1 C 0.0000 0.5000 0.5000
Br1 Br 0.0000 0.5000 0.0000
Br2 Br 0.1680 0.0000 0.8442
Cl1 Cl 0.1709 0.0000 0.3453
```



3.
This entry pairs a crystal structure of Er4CBr3Cl2 with its theoretical X-ray diffraction stick pattern. Radiation: a wavelength of 1.5418 Å. Structure: a PBE-relaxed structure.
Intensities are scaled so that the largest is 100.

Largest 8 diffraction maxima, low angle first, 5 to 70 degrees two-theta:
| (hkl) | 2θ (°) | I_rel |
| --- | --- | --- |
| 2 0 0 | 10.67 | 40 |
| 0 0 1 | 11.30 | 57 |
| 3 1 -1 | 29.61 | 26 |
| 6 0 0 | 32.40 | 82 |
| 1 1 -2 | 32.68 | 100 |
| 4 0 -3 | 36.22 | 33 |
| 5 1 2 | 46.53 | 26 |
| 7 1 -2 | 46.84 | 27 |

Structural model:
```
data_Er4CBr3Cl2
_space_group_name_H-M_alt 'C 1 2/m 1'
_space_group_IT_number 12
_space_group_name_Hall '-C 2y'
_cell_length_a 17.0218
_cell_length_b 3.7458
_cell_length_c 8.0390
_cell_angle_alpha 90.00
_cell_angle_beta 103.13
_cell_angle_gamma 90.00
loop_
_atom_site_label
_atom_site_type_symbol
_atom_site_fract_x
_atom_site_fract_y
_atom_site_fract_z
Er1 Er 0.0017 0.0000 0.3005
Er2 Er 0.1425 0.5000 0.5723
C1 C 0.0000 0.5000 0.5000
Br1 Br 0.0000 0.5000 0.0000
Br2 Br 0.1686 0.0000 0.8400
Cl1 Cl 0.1706 0.0000 0.3455
```



4.
This entry pairs a crystal structure of Sm4CBr2Cl2F with its theoretical X-ray diffraction stick pattern. Radiation: a wavelength of 1.5418 Å. Structure: a PBE-relaxed structure.
Intensities are scaled so that the largest is 100.

Largest 8 diffraction maxima, low angle first, 5 to 70 degrees two-theta:
| (hkl) | 2θ (°) | I_rel |
| --- | --- | --- |
| 0 0 1 | 12.05 | 71 |
| 1 1 -1 | 26.81 | 27 |
| 2 0 2 | 28.49 | 30 |
| 6 0 0 | 30.89 | 50 |
| 1 1 -2 | 33.83 | 100 |
| 5 1 0 | 35.34 | 29 |
| 7 1 -2 | 46.18 | 27 |
| 5 1 2 | 46.74 | 32 |

Structural model:
```
data_Sm4CBr2Cl2F
_space_group_name_H-M_alt 'C 1 2/m 1'
_space_group_IT_number 12
_space_group_name_Hall '-C 2y'
_cell_length_a 17.8358
_cell_length_b 3.7229
_cell_length_c 7.5446
_cell_angle_alpha 90.00
_cell_angle_beta 103.14
_cell_angle_gamma 90.00
loop_
_atom_site_label
_atom_site_type_symbol
_atom_site_fract_x
_atom_site_fract_y
_atom_site_fract_z
Sm1 Sm 0.0004 0.0000 0.2330
Sm2 Sm 0.1424 0.5000 0.0789
C1 C 0.0000 0.5000 0.0000
Br1 Br 0.1706 0.0000 0.8021
Cl1 Cl 0.1604 0.0000 0.3544
F1 F 0.0000 0.5000 0.5000
```



5.
This entry pairs a crystal structure of Ho4CBr4Cl with its theoretical X-ray diffraction stick pattern. Radiation: a wavelength of 1.5418 Å. Structure: a PBE-relaxed structure.
Intensities are scaled so that the largest is 100.

Largest 8 diffraction maxima, low angle first, 5 to 70 degrees two-theta:
| (hkl) | 2θ (°) | I_rel |
| --- | --- | --- |
| 2 0 0 | 10.24 | 20 |
| 0 0 1 | 11.55 | 67 |
| 6 0 0 | 31.07 | 45 |
| 3 1 1 | 32.04 | 23 |
| 1 1 -2 | 33.02 | 100 |
| 6 0 -2 | 34.59 | 26 |
| 5 1 0 | 35.32 | 38 |
| 5 1 2 | 45.97 | 52 |

Structural model:
```
data_Ho4CBr4Cl
_space_group_name_H-M_alt 'C 1 2/m 1'
_space_group_IT_number 12
_space_group_name_Hall '-C 2y'
_cell_length_a 17.7023
_cell_length_b 3.7539
_cell_length_c 7.8493
_cell_angle_alpha 90.00
_cell_angle_beta 102.65
_cell_angle_gamma 90.00
loop_
_atom_site_label
_atom_site_type_symbol
_atom_site_fract_x
_atom_site_fract_y
_atom_site_fract_z
Ho1 Ho 0.0008 0.0000 0.2929
Ho2 Ho 0.1376 0.5000 0.5717
C1 C 0.0000 0.5000 0.5000
Br1 Br 0.1633 0.0000 0.8477
Br2 Br 0.1699 0.0000 0.3208
Cl1 Cl 0.0000 0.5000 0.0000
```



6.
This entry pairs a crystal structure of Ho4CBr3Cl2 with its theoretical X-ray diffraction stick pattern. Radiation: a wavelength of 1.5418 Å. Structure: a PBE-relaxed structure.
Intensities are scaled so that the largest is 100.

Largest 8 diffraction maxima, low angle first, 5 to 70 degrees two-theta:
| (hkl) | 2θ (°) | I_rel |
| --- | --- | --- |
| 2 0 0 | 10.62 | 39 |
| 0 0 1 | 11.25 | 54 |
| 3 1 -1 | 29.47 | 26 |
| 6 0 0 | 32.24 | 81 |
| 1 1 -2 | 32.52 | 100 |
| 4 0 -3 | 36.05 | 32 |
| 5 1 2 | 46.30 | 27 |
| 7 1 -2 | 46.61 | 27 |

Structural model:
```
data_Ho4CBr3Cl2
_space_group_name_H-M_alt 'C 1 2/m 1'
_space_group_IT_number 12
_space_group_name_Hall '-C 2y'
_cell_length_a 17.1031
_cell_length_b 3.7631
_cell_length_c 8.0774
_cell_angle_alpha 90.00
_cell_angle_beta 103.12
_cell_angle_gamma 90.00
loop_
_atom_site_label
_atom_site_type_symbol
_atom_site_fract_x
_atom_site_fract_y
_atom_site_fract_z
Ho1 Ho 0.0017 0.0000 0.2999
Ho2 Ho 0.1428 0.5000 0.5724
C1 C 0.0000 0.5000 0.5000
Br1 Br 0.0000 0.5000 0.0000
Br2 Br 0.1686 0.0000 0.8402
Cl1 Cl 0.1707 0.0000 0.3453
```



7.
This entry pairs a crystal structure of Nd2Ho2CIBr2Cl2 with its theoretical X-ray diffraction stick pattern. Radiation: a wavelength of 1.5418 Å. Structure: a PBE-relaxed structure.
Intensities are scaled so that the largest is 100.

Largest 8 diffraction maxima, low angle first, 5 to 70 degrees two-theta:
| (hkl) | 2θ (°) | I_rel |
| --- | --- | --- |
| 2 0 0 | 10.21 | 52 |
| 0 0 1 | 10.84 | 49 |
| 3 1 -1 | 28.43 | 18 |
| 6 0 0 | 30.97 | 40 |
| 1 1 -2 | 31.41 | 100 |
| 5 1 -1 | 34.47 | 20 |
| 7 1 -2 | 44.46 | 22 |
| 5 1 2 | 44.95 | 24 |

Structural model:
```
data_Nd2Ho2CIBr2Cl2
_space_group_name_H-M_alt 'C 1 2/m 1'
_space_group_IT_number 12
_space_group_name_Hall '-C 2y'
_cell_length_a 17.8973
_cell_length_b 3.8597
_cell_length_c 8.4306
_cell_angle_alpha 90.00
_cell_angle_beta 104.51
_cell_angle_gamma 90.00
loop_
_atom_site_label
_atom_site_type_symbol
_atom_site_fract_x
_atom_site_fract_y
_atom_site_fract_z
Nd1 Nd 0.1449 0.0000 0.0806
Ho1 Ho 0.0005 0.5000 0.1921
C1 C 0.0000 0.0000 0.0000
I1 I 0.0000 0.0000 0.5000
Br1 Br 0.1660 0.5000 0.8222
Cl1 Cl 0.1560 0.5000 0.3312
```



8.
This entry pairs a crystal structure of Nd2Ho2CIBr2Cl2 with its theoretical X-ray diffraction stick pattern. Radiation: a wavelength of 1.5418 Å. Structure: a PBE-relaxed structure.
Intensities are scaled so that the largest is 100.

Largest 8 diffraction maxima, low angle first, 5 to 70 degrees two-theta:
| (hkl) | 2θ (°) | I_rel |
| --- | --- | --- |
| 0 0 1 | 10.26 | 56 |
| 2 0 0 | 10.49 | 34 |
| 4 0 -1 | 21.18 | 30 |
| 1 1 -2 | 30.49 | 100 |
| 3 1 1 | 31.00 | 37 |
| 6 0 0 | 31.82 | 37 |
| 5 1 2 | 44.30 | 23 |
| 7 1 -2 | 45.01 | 24 |

Structural model:
```
data_Nd2Ho2CIBr2Cl2
_space_group_name_H-M_alt 'C 1 2/m 1'
_space_group_IT_number 12
_space_group_name_Hall '-C 2y'
_cell_length_a 17.3503
_cell_length_b 3.9094
_cell_length_c 8.8668
_cell_angle_alpha 90.00
_cell_angle_beta 103.50
_cell_angle_gamma 90.00
loop_
_atom_site_label
_atom_site_type_symbol
_atom_site_fract_x
_atom_site_fract_y
_atom_site_fract_z
Nd1 Nd 0.0025 0.0000 0.3056
Ho1 Ho 0.1414 0.5000 0.5691
C1 C 0.0000 0.5000 0.5000
I1 I 0.0000 0.5000 0.0000
Br1 Br 0.1746 0.0000 0.8086
Cl1 Cl 0.1750 0.0000 0.3749
```